LaSmSc2In4: theoretical powder diffraction line list (Cu Kα (λ = 1.5418 Å)), based on a DFT-relaxed cell (PBE, Alexandria).
Intensities are scaled so that the largest is 100.

Largest 12 diffraction maxima, low angle first, 10° ≤ 2θ ≤ 90°:
- 20.57°, d = 4.318 Å, I 12, hkl 0 1 2
- 33.90°, d = 2.644 Å, I 100, hkl 1 1 0
- 39.98°, d = 2.255 Å, I 7, hkl 1 0 10
- 48.70°, d = 1.870 Å, I 18, hkl 2 0 8
- 53.45°, d = 1.714 Å, I 2, hkl 1 2 2
- 60.55°, d = 1.529 Å, I 9, hkl 1 0 16
- 60.69°, d = 1.526 Å, I 27, hkl 3 0 0
- 64.79°, d = 1.439 Å, I 2, hkl 2 1 10
- 71.26°, d = 1.323 Å, I 5, hkl 0 2 16
- 71.41°, d = 1.321 Å, I 5, hkl 2 2 0
- 81.31°, d = 1.183 Å, I 8, hkl 2 1 16
- 81.43°, d = 1.182 Å, I 8, hkl 3 1 8

Atomic structure:
Unit cell a=5.2837 b=5.2837 c=25.9583 alpha=90.00 beta=90.00 gamma=120.00
Space group R-3m (No. 166, hexagonal axes)
Asymmetric unit:
La  0.0000  0.0000  0.0000
Sm  0.0000  0.0000  0.5000
Sc  0.0000  0.0000  0.2499
In  0.0000  0.0000  0.1265
In  0.0000  0.0000  0.3766